(1)
Computed PXRD pattern of Y2ScNi9 for Cu Kα, from a DFT-relaxed cell (PBE, Alexandria).
No peak broadening, texture or thermal motion is included.

Most intense lines, 2θ = 10–90°, low angle first:
2θ 34.8, rel. 46.3
2θ 36.6, rel. 33.5
2θ 42.9, rel. 36.3
2θ 43.0, rel. 100.0
2θ 44.5, rel. 23.8
2θ 45.8, rel. 52.1
2θ 70.3, rel. 20.9
2θ 77.7, rel. 25.3

Structure:
```
Y2ScNi9
1.0
4.915 0.000 0.000
-2.458 4.257 0.000
0.000 0.000 16.229
Y Sc Ni
4 2 18
direct
0.333 0.667 0.044
0.333 0.667 0.456
0.667 0.333 0.544
0.667 0.333 0.956
0.333 0.667 0.250
0.667 0.333 0.750
0.000 0.000 0.000
0.000 0.000 0.250
0.000 0.000 0.500
0.000 0.000 0.750
0.167 0.334 0.629
0.167 0.334 0.871
0.167 0.833 0.629
0.167 0.833 0.871
0.333 0.667 0.750
0.334 0.167 0.129
0.334 0.167 0.371
0.666 0.833 0.629
0.666 0.833 0.871
0.667 0.333 0.250
0.833 0.167 0.129
0.833 0.167 0.371
0.833 0.666 0.129
0.833 0.666 0.371
```

***

(2)
Computed PXRD pattern of ThZrSi2Ir5 for Cu Kα, from a DFT-relaxed cell (PBE, Alexandria).
No peak broadening, texture or thermal motion is included.

Most intense lines, 2θ = 10–90°, low angle first:
2θ 24.1, rel. 86.5
2θ 32.6, rel. 69.9
2θ 35.6, rel. 100.0
2θ 45.3, rel. 54.8
2θ 45.9, rel. 35.5
2θ 52.0, rel. 45.4
2θ 52.5, rel. 34.6
2θ 69.3, rel. 26.3

Structure:
```
ThZrSi2Ir5
1.0
4.006 0.000 0.000
0.000 4.006 0.000
0.000 0.000 11.061
Th Zr Si Ir
1 1 2 5
direct
0.000 0.000 0.000
0.000 0.000 0.500
0.500 0.500 0.214
0.500 0.500 0.786
0.000 0.500 0.324
0.000 0.500 0.676
0.500 0.000 0.324
0.500 0.000 0.676
0.500 0.500 0.000
```

***

(3)
Computed PXRD pattern of Ho2ZnSi2 for Cu Kα, from a DFT-relaxed cell (PBE, Alexandria).
No peak broadening, texture or thermal motion is included.

Most intense lines, 2θ = 10–90°, low angle first:
2θ 23.4, rel. 25.1
2θ 26.1, rel. 22.5
2θ 33.5, rel. 100.0
2θ 34.0, rel. 24.9
2θ 42.0, rel. 26.9
2θ 43.2, rel. 19.7
2θ 56.0, rel. 11.8
2θ 65.9, rel. 11.0

Structure:
```
Ho2ZnSi2
1.0
5.282 -2.095 0.000
5.282 2.095 0.000
-5.108 0.000 9.120
Ho Zn Si
4 2 4
direct
0.104 0.104 0.411
0.292 0.292 0.844
0.708 0.708 0.156
0.896 0.896 0.589
0.440 0.440 0.190
0.560 0.560 0.810
0.040 0.040 0.914
0.379 0.379 0.389
0.621 0.621 0.611
0.960 0.960 0.086
```